Record 1
Tm3Zn9Ni2: simulated powder diffraction line list (Cu Kα (weighted mean of Kα1 and Kα2)), based on a cell relaxed with PBE.
Neutral-atom scattering factors, no anomalous dispersion.

Structural model:
```
data_Tm3Zn9Ni2
_chemical_formula_sum 'Tm3 Zn9 Ni2'
_space_group_name_H-M_alt 'P 1'
_space_group_IT_number 1
_cell_length_a 7.9338
_cell_length_b 7.9338
_cell_length_c 7.9338
_cell_angle_alpha 148.94
_cell_angle_beta 110.92
_cell_angle_gamma 77.66
loop_
_space_group_symop_operation_xyz
'x,y,z'
loop_
_atom_site_label
_atom_site_fract_x
_atom_site_fract_y
_atom_site_fract_z
_atom_site_occupancy
Tm1 0.0000 0.0000 0.0000 1
Tm2 0.3063 0.3063 0.0000 1
Tm3 0.6937 0.6937 0.0000 1
Zn1 0.0183 0.6592 0.3591 1
Zn2 0.1551 0.8742 0.2809 1
Zn3 0.3001 0.6592 0.6409 1
Zn4 0.4067 0.1258 0.2809 1
Zn5 0.5000 0.0000 0.5000 1
Zn6 0.5933 0.8742 0.7191 1
Zn7 0.6999 0.3408 0.3591 1
Zn8 0.8449 0.1258 0.7191 1
Zn9 0.9817 0.3408 0.6409 1
Ni1 0.3200 0.5000 0.8200 1
Ni2 0.6800 0.5000 0.1800 1
```

Top 10 peaks for 2θ from 5° to 70°, in order of falling intensity:
Position (°2θ), I/Imax
36.4, 100
42.6, 47
36.7, 45
37.1, 36
30.2, 33
35.2, 25
37.3, 24
39.6, 22
57.7, 20
44.0, 18

---

Record 2
Na4ZnCdSi4O12: simulated powder diffraction line list (Cu Kα (weighted mean of Kα1 and Kα2)), based on a cell relaxed with PBE.
Neutral-atom scattering factors, no anomalous dispersion.

Structural model:
```
data_Na4ZnCdSi4O12
_chemical_formula_sum 'Na4 Zn1 Cd1 Si4 O12'
_space_group_name_H-M_alt 'P 1'
_space_group_IT_number 1
_cell_length_a 5.2628
_cell_length_b 5.2628
_cell_length_c 11.5443
_cell_angle_alpha 101.99
_cell_angle_beta 101.99
_cell_angle_gamma 93.36
loop_
_space_group_symop_operation_xyz
'x,y,z'
loop_
_atom_site_label
_atom_site_fract_x
_atom_site_fract_y
_atom_site_fract_z
_atom_site_occupancy
Na1 0.1528 0.1528 0.3532 1
Na2 0.5524 0.0785 0.1641 1
Na3 0.8472 0.8472 0.6468 1
Na4 0.9215 0.4476 0.8359 1
Zn1 0.7181 0.2819 0.5000 1
Cd1 0.9705 0.0295 0.0000 1
Si1 0.3145 0.4279 0.6658 1
Si2 0.4097 0.0063 0.8266 1
Si3 0.5721 0.6855 0.3342 1
Si4 0.9937 0.5903 0.1734 1
O1 0.0993 0.3638 0.5388 1
O2 0.2541 0.2076 0.7465 1
O3 0.2555 0.7096 0.7512 1
O4 0.2904 0.7445 0.2488 1
O5 0.3631 0.0673 0.9632 1
O6 0.5555 0.3848 0.3479 1
O7 0.6152 0.4445 0.6521 1
O8 0.6362 0.9007 0.4612 1
O9 0.7168 0.0266 0.8228 1
O10 0.7924 0.7459 0.2535 1
O11 0.9327 0.6369 0.0368 1
O12 0.9734 0.2832 0.1772 1
```

Top 10 peaks for 2θ from 5° to 70°, in order of falling intensity:
Position (°2θ), I/Imax
34.1, 100
20.7, 97
20.9, 94
33.8, 92
17.4, 86
39.4, 30
34.7, 24
62.0, 23
35.1, 22
26.3, 21

---

Record 3
RbUTe4Pd: simulated powder diffraction line list (Cu Kα (weighted mean of Kα1 and Kα2)), based on a cell relaxed with PBE.
Neutral-atom scattering factors, no anomalous dispersion.

Structural model:
```
data_RbUTe4Pd
_chemical_formula_sum 'Rb2 U2 Te8 Pd2'
_space_group_name_H-M_alt 'P 1'
_space_group_IT_number 1
_cell_length_a 7.6254
_cell_length_b 6.2235
_cell_length_c 10.2630
_cell_angle_alpha 90.00
_cell_angle_beta 108.16
_cell_angle_gamma 90.00
loop_
_space_group_symop_operation_xyz
'x,y,z'
loop_
_atom_site_label
_atom_site_fract_x
_atom_site_fract_y
_atom_site_fract_z
_atom_site_occupancy
Rb1 0.2193 0.2500 0.0543 1
Rb2 0.7807 0.7500 0.9457 1
U1 0.2759 0.2500 0.5552 1
U2 0.7241 0.7500 0.4448 1
Te1 0.0209 0.5046 0.6944 1
Te2 0.0209 0.9954 0.6944 1
Te3 0.4300 0.7500 0.5944 1
Te4 0.4720 0.7500 0.1593 1
Te5 0.5280 0.2500 0.8407 1
Te6 0.5700 0.2500 0.4056 1
Te7 0.9791 0.0046 0.3056 1
Te8 0.9791 0.4954 0.3056 1
Pd1 0.2692 0.7500 0.3274 1
Pd2 0.7308 0.2500 0.6726 1
```

Top 10 peaks for 2θ from 5° to 70°, in order of falling intensity:
Position (°2θ), I/Imax
9.1, 100
28.9, 37
31.3, 34
38.1, 33
29.5, 29
25.7, 23
38.9, 22
16.9, 17
35.0, 17
25.0, 17

---

Record 4
PrHoPd: simulated powder diffraction line list (Cu Kα (weighted mean of Kα1 and Kα2)), based on a cell relaxed with PBE.
Neutral-atom scattering factors, no anomalous dispersion.

Structural model:
```
data_PrHoPd
_chemical_formula_sum 'Pr6 Ho6 Pd6'
_space_group_name_H-M_alt 'P 1'
_space_group_IT_number 1
_cell_length_a 8.6835
_cell_length_b 8.6835
_cell_length_c 11.5796
_cell_angle_alpha 120.12
_cell_angle_beta 120.12
_cell_angle_gamma 42.73
loop_
_space_group_symop_operation_xyz
'x,y,z'
loop_
_atom_site_label
_atom_site_fract_x
_atom_site_fract_y
_atom_site_fract_z
_atom_site_occupancy
Pr1 0.1028 0.8972 0.5000 1
Pr2 0.3294 0.9794 0.9015 1
Pr3 0.5645 0.9264 0.6599 1
Pr4 0.8972 0.1028 0.0000 1
Pr5 0.9264 0.5645 0.1599 1
Pr6 0.9794 0.3294 0.4015 1
Ho1 0.1547 0.6389 0.7113 1
Ho2 0.2493 0.4593 0.9594 1
Ho3 0.4151 0.7538 0.2739 1
Ho4 0.4593 0.2493 0.4594 1
Ho5 0.6389 0.1547 0.2113 1
Ho6 0.7538 0.4151 0.7739 1
Pd1 0.0487 0.3606 0.6906 1
Pd2 0.3606 0.0487 0.1906 1
Pd3 0.4668 0.6122 0.9888 1
Pd4 0.6122 0.4668 0.4888 1
Pd5 0.7707 0.8321 0.9469 1
Pd6 0.8321 0.7707 0.4469 1
```

Top 10 peaks for 2θ from 5° to 70°, in order of falling intensity:
Position (°2θ), I/Imax
30.4, 100
29.4, 88
31.6, 76
33.4, 70
36.8, 55
39.8, 52
33.8, 48
32.6, 48
36.4, 45
27.5, 44